Structure and simulated powder diffractogram of NpCuNi2O6 (a crystal structure in Alexandria, relaxed with GGA+U; Cu Kα).

Structural model:
Lattice parameters (Å, degrees): 5.919 5.919 4.044 90.00 90.00 90.00
Space group P4mm (No. 99)
Asymmetric unit:
Np 0.000 0.000 0.000 (multiplicity 1)
Cu 0.500 0.500 0.997 (multiplicity 1)
Ni 0.000 0.500 0.003 (multiplicity 2)
O 0.000 0.000 0.500 (multiplicity 1)
O 0.246 0.246 0.001 (multiplicity 4)
O 0.500 0.500 0.498 (multiplicity 1)

Top 8 peaks for 2θ = 10–90°, in order of rising 2θ:
(1 0 0), 14.97°, I = 55.7; (1 1 0), 21.23°, I = 40.5; (0 0 1), 21.98°, I = 100.0; (1 0 1), 26.70°, I = 29.5; (2 0 0), 30.20°, I = 65.3; (2 0 1), 37.66°, I = 51.0; (2 2 0), 43.23°, I = 42.7; (2 2 1), 49.01°, I = 45.6